Record 1
The following is a computed PXRD pattern of Li4Mn3NbCr2P6O24. It was derived from a GGA+U-relaxed structure, using a wavelength of 1.5418 Å.

Principal peaks in the range 10° ≤ 2θ ≤ 80°, low angle first:
| hkl | Position (°2θ) | d (Å) | Rel. int. |
| --- | --- | --- | --- |
| 0 1 -1 | 19.5 | 4.545 | 100 |
| 1 -1 0 | 19.8 | 4.494 | 41 |
| 1 0 2 | 23.0 | 3.866 | 44 |
| 0 2 1 | 23.4 | 3.796 | 40 |
| 2 1 0 | 23.9 | 3.731 | 60 |
| 1 2 3 | 31.6 | 2.832 | 39 |
| 2 1 3 | 31.8 | 2.810 | 35 |
| 1 3 2 | 32.4 | 2.767 | 33 |
| 3 1 2 | 32.8 | 2.734 | 25 |
| 1 1 -2 | 34.0 | 2.635 | 36 |
| -2 1 1 | 34.4 | 2.609 | 38 |
| 1 -2 1 | 34.5 | 2.600 | 34 |

Structural model:
abc: 8.5535 8.6303 8.9438
angles: 62.20 62.79 63.08
Space group P1 (No. 1)
One atom of each set of equivalent atoms:
Li: 0.0000 0.0000 0.0000 x1
Li: 0.1042 0.5015 0.8510 x1
Li: 0.4449 0.7136 0.3162 x1
Li: 0.8923 0.0601 0.5111 x1
Mn: 0.0852 0.6959 0.4967 x1
Mn: 0.3971 0.0054 0.8025 x1
Mn: 0.5913 0.2066 0.0024 x1
Nb: 0.8957 0.5071 0.3082 x1
Cr: 0.2499 0.8542 0.6532 x1
Cr: 0.7364 0.3529 0.1554 x1
P: 0.1743 0.1049 0.2011 x1
P: 0.3129 0.6059 0.1056 x1
P: 0.4934 0.4151 0.6083 x1
P: 0.6837 0.9194 0.4104 x1
P: 0.8111 0.8060 0.9118 x1
P: 0.9971 0.2943 0.7125 x1
O: 0.9995 0.7816 0.7558 x1
O: 0.0669 0.4441 0.6842 x1
O: 0.1433 0.1011 0.7226 x1
O: 0.1463 0.5289 0.1674 x1
O: 0.1667 0.9491 0.3856 x1
O: 0.1764 0.0579 0.0552 x1
O: 0.2842 0.6660 0.2551 x1
O: 0.2928 0.7650 0.9328 x1
O: 0.3341 0.1731 0.1457 x1
O: 0.3367 0.6072 0.5870 x1
O: 0.4380 0.2597 0.6317 x1
O: 0.4928 0.9215 0.5509 x1
O: 0.5000 0.4550 0.0800 x1
O: 0.5613 0.3781 0.7541 x1
O: 0.6432 0.4543 0.4142 x1
O: 0.6465 0.8565 0.8564 x1
O: 0.6839 0.0979 0.2492 x1
O: 0.7470 0.7534 0.3427 x1
O: 0.7978 0.9424 0.9825 x1
O: 0.8270 0.8866 0.4883 x1
O: 0.8312 0.6042 0.0601 x1
O: 0.8482 0.2700 0.8961 x1
O: 0.9318 0.3485 0.5512 x1
O: 0.9762 0.2586 0.2463 x1

***

Record 2
The following is a computed PXRD pattern of LiCr2P3O13. It was derived from a GGA+U-relaxed structure, using a wavelength of 1.5418 Å.

Principal peaks in the range 10° ≤ 2θ ≤ 80°, low angle first:
| hkl | Position (°2θ) | d (Å) | Rel. int. |
| --- | --- | --- | --- |
| 1 1 0 | 12.2 | 7.248 | 10 |
| 1 1 -1 | 12.6 | 7.021 | 100 |
| 0 2 1 | 18.1 | 4.907 | 85 |
| 2 2 -1 | 21.3 | 4.174 | 14 |
| 1 3 0 | 21.7 | 4.096 | 35 |
| 2 2 0 | 24.6 | 3.624 | 14 |
| 3 1 -1 | 27.0 | 3.297 | 12 |
| 3 1 -2 | 27.6 | 3.231 | 25 |
| 0 2 2 | 29.0 | 3.083 | 26 |
| 2 4 -1 | 30.7 | 2.908 | 15 |
| 2 4 0 | 33.1 | 2.704 | 17 |
| 1 1 2 | 34.0 | 2.636 | 11 |

Structural model:
abc: 10.3917 14.0409 8.4267
angles: 90.00 125.47 90.00
Space group C2/c (No. 15)
One atom of each set of equivalent atoms:
Li: 0.2500 0.2500 0.0000 x4
Cr: 0.2457 0.0832 0.6728 x8
P: 0.0000 0.0094 0.7500 x4
P: 0.0549 0.2963 0.4439 x8
O: 0.0000 0.2367 0.2500 x4
O: 0.0558 0.0546 0.4269 x8
O: 0.0970 0.3427 0.0949 x8
O: 0.1266 0.2289 0.6142 x8
O: 0.1374 0.0756 0.7950 x8
O: 0.1709 0.3720 0.4647 x8
O: 0.1743 0.4808 0.7696 x8

***

Record 3
The following is a computed PXRD pattern of Rb8HfMo6O24. It was derived from a GGA+U-relaxed structure, using a wavelength of 1.5418 Å.

Principal peaks in the range 10° ≤ 2θ ≤ 80°, low angle first:
| hkl | Position (°2θ) | d (Å) | Rel. int. |
| --- | --- | --- | --- |
| 1 1 -1 | 13.0 | 6.818 | 13 |
| 1 3 -2 | 25.9 | 3.438 | 100 |
| 2 2 1 | 26.1 | 3.408 | 49 |
| 3 1 -1 | 26.5 | 3.359 | 50 |
| 0 6 0 | 27.6 | 3.234 | 46 |
| 2 4 1 | 30.7 | 2.911 | 38 |
| 3 5 -1 | 35.0 | 2.562 | 15 |
| 1 1 3 | 39.2 | 2.300 | 14 |
| 3 7 -1 | 42.0 | 2.151 | 15 |
| 1 9 -2 | 47.8 | 1.904 | 14 |
| 5 3 0 | 48.7 | 1.870 | 19 |
| 2 6 -4 | 53.3 | 1.719 | 12 |

Structural model:
abc: 10.2941 19.4056 8.1444
angles: 90.00 108.44 90.00
Space group C2/m (No. 12)
One atom of each set of equivalent atoms:
Rb: 0.0000 0.1651 0.0000 x4
Rb: 0.1925 0.1735 0.6099 x8
Rb: 0.2131 0.5000 0.1451 x4
Hf: 0.0000 0.5000 0.5000 x2
Mo: 0.1033 0.3448 0.7851 x8
Mo: 0.1170 0.0000 0.2950 x4
O: 0.0101 0.2731 0.2729 x8
O: 0.0134 0.4257 0.6880 x8
O: 0.0195 0.0744 0.3104 x8
O: 0.1502 0.0000 0.0950 x4
O: 0.1729 0.3547 0.0144 x8
O: 0.2110 0.5000 0.5319 x4
O: 0.2394 0.3272 0.7024 x8

***

Record 4
The following is a computed PXRD pattern of FeOF. It was derived from a GGA+U-relaxed structure, using a wavelength of 1.5418 Å.

Principal peaks in the range 10° ≤ 2θ ≤ 80°, low angle first:
| hkl | Position (°2θ) | d (Å) | Rel. int. |
| --- | --- | --- | --- |
| 2 0 3 | 26.7 | 3.333 | 100 |
| 2 1 0 | 34.7 | 2.586 | 56 |
| 4 0 0 | 38.2 | 2.357 | 8 |
| 2 1 3 | 39.8 | 2.267 | 17 |
| 4 0 -3 | 42.9 | 2.108 | 8 |
| 4 1 3 | 52.5 | 1.742 | 59 |
| 4 0 -6 | 55.1 | 1.668 | 8 |
| 4 0 6 | 55.2 | 1.665 | 9 |
| 0 2 0 | 59.8 | 1.546 | 10 |
| 6 0 3 | 62.3 | 1.490 | 8 |
| 2 2 3 | 66.7 | 1.403 | 12 |
| 6 1 0 | 66.8 | 1.401 | 20 |

Structural model:
abc: 9.4274 3.0925 14.1377
angles: 90.00 90.10 90.00
Space group Pm (No. 6)
One atom of each set of equivalent atoms:
Fe: 0.0000 0.0000 0.0000 x1
Fe: 0.0001 0.0000 0.3320 x1
Fe: 0.2275 0.5000 0.5002 x1
Fe: 0.2442 0.5000 0.1814 x1
Fe: 0.2713 0.5000 0.8286 x1
Fe: 0.4945 0.0000 0.3222 x1
Fe: 0.4965 0.0000 0.9886 x1
Fe: 0.5054 0.0000 0.6755 x1
Fe: 0.7306 0.5000 0.8348 x1
Fe: 0.7470 0.5000 0.1833 x1
Fe: 0.7702 0.5000 0.4948 x1
Fe: 0.9947 0.0000 0.6546 x1
O: 0.0970 0.5000 0.3957 x1
O: 0.1505 0.0000 0.2304 x1
O: 0.1558 0.0000 0.5681 x1
O: 0.3438 0.0000 0.7630 x1
O: 0.3965 0.5000 0.9384 x1
O: 0.4022 0.5000 0.2691 x1
O: 0.6017 0.5000 0.7283 x1
O: 0.6530 0.0000 0.2344 x1
O: 0.6544 0.0000 0.9006 x1
O: 0.8453 0.0000 0.4319 x1
O: 0.8958 0.5000 0.6055 x1
O: 0.9071 0.5000 0.2655 x1
F: 0.0899 0.5000 0.7383 x1
F: 0.1068 0.5000 0.0660 x1
F: 0.1497 0.0000 0.8958 x1
F: 0.3516 0.0000 0.1028 x1
F: 0.3515 0.0000 0.4368 x1
F: 0.4081 0.5000 0.5963 x1
F: 0.5912 0.5000 0.4013 x1
F: 0.5994 0.5000 0.0679 x1
F: 0.6456 0.0000 0.5603 x1
F: 0.8441 0.0000 0.0996 x1
F: 0.8522 0.0000 0.7715 x1
F: 0.8996 0.5000 0.9301 x1